(1)
Simulated PXRD pattern
Compound: Hf4IrAu
Radiation: Cu Kα (weighted mean of Kα1 and Kα2)
Structure: a crystal structure in Alexandria, relaxed with GGA-PBE
No peak broadening, texture or thermal motion is included.

Peak list (12 most intense, 2θ from 10° to 90°, by intensity)
h k l  2θ/deg  d (Å)  I_rel
2 2 0  36.49  2.462  100
3 1 -1  42.07  2.148  88
1 3 -1  44.64  2.030  80
1 1 -2  35.44  2.533  73
1 2 -1  32.75  2.735  67
1 1 1  24.38  3.651  65
2 0 2  41.66  2.168  63
0 2 1  30.66  2.916  59
1 0 0  12.33  7.176  59
2 2 1  40.56  2.224  54
0 2 2  41.24  2.189  48
2 1 0  28.15  3.170  48

Structure:
```
data_Hf4IrAu
_chemical_formula_sum 'Hf8 Ir2 Au2'
_cell_length_a 7.1935
_cell_length_b 6.7710
_cell_length_c 5.7529
_cell_angle_alpha 90.00
_cell_angle_beta 94.03
_cell_angle_gamma 90.00
_symmetry_space_group_name_H-M 'P 1 21/c 1'
_symmetry_Int_Tables_number 14
loop_
_symmetry_equiv_pos_as_xyz
'x,y,z'
'-x,-y,-z'
'-x,y+1/2,-z+1/2'
'x,-y+1/2,z+1/2'
loop_
_atom_site_label
_atom_site_fract_x
_atom_site_fract_y
_atom_site_fract_z
Hf1 0.1402 0.1445 0.4230
Hf2 0.2614 0.6869 0.3049
Ir1 0.0000 0.0000 0.0000
Au1 0.5000 0.0000 0.5000
```

(2)
Simulated PXRD pattern
Compound: Li3HfAu4
Radiation: Cu Kα (weighted mean of Kα1 and Kα2)
Structure: a crystal structure in Alexandria, relaxed with GGA-PBE
No peak broadening, texture or thermal motion is included.

Peak list (12 most intense, 2θ from 10° to 90°, by intensity)
h k l  2θ/deg  d (Å)  I_rel
2 2 0  39.13  2.302  100
2 0 0  27.39  3.256  47
4 2 2  70.90  1.329  36
4 2 0  63.93  1.456  18
1 1 0  19.28  4.605  18
4 0 0  56.53  1.628  17
2 2 2  48.42  1.880  14
4 4 0  84.09  1.151  12
2 1 1  33.71  2.658  9
3 2 1  52.59  1.740  5
3 1 0  43.97  2.059  4
5 1 0  74.26  1.277  3

Structure:
```
data_Li3HfAu4
_chemical_formula_sum 'Li6 Hf2 Au8'
_cell_length_a 6.5119
_cell_length_b 6.5119
_cell_length_c 6.5119
_cell_angle_alpha 90.00
_cell_angle_beta 90.00
_cell_angle_gamma 90.00
_symmetry_space_group_name_H-M 'I m -3 m'
_symmetry_Int_Tables_number 229
_symmetry_space_group_name_Hall '-I 4 2 3'
loop_
_atom_site_label
_atom_site_fract_x
_atom_site_fract_y
_atom_site_fract_z
Li1 0.0000 0.0000 0.5000
Hf1 0.0000 0.0000 0.0000
Au1 0.2500 0.2500 0.2500
```

(3)
Simulated PXRD pattern
Compound: Li2HfAu2
Radiation: Cu Kα (weighted mean of Kα1 and Kα2)
Structure: a crystal structure in Alexandria, relaxed with GGA-PBE
No peak broadening, texture or thermal motion is included.

Peak list (12 most intense, 2θ from 10° to 90°, by intensity)
h k l  2θ/deg  d (Å)  I_rel
1 0 5  41.45  2.179  100
0 0 2  12.91  6.858  94
1 1 0  35.41  2.535  75
1 0 3  31.72  2.821  65
2 1 5  67.69  1.384  48
1 1 2  37.84  2.378  34
2 0 0  50.94  1.793  29
1 0 1  25.68  3.469  21
2 1 3  61.26  1.513  20
1 1 10  79.44  1.206  16
3 1 0  85.68  1.134  13
3 0 5  89.44  1.096  12

Structure:
```
data_Li2HfAu2
_chemical_formula_sum 'Li4 Hf2 Au4'
_cell_length_a 3.5852
_cell_length_b 3.5852
_cell_length_c 13.7169
_cell_angle_alpha 90.00
_cell_angle_beta 90.00
_cell_angle_gamma 90.00
_symmetry_space_group_name_H-M 'I 4/m m m'
_symmetry_Int_Tables_number 139
_symmetry_space_group_name_Hall '-I 4 2'
loop_
_atom_site_label
_atom_site_fract_x
_atom_site_fract_y
_atom_site_fract_z
Li1 0.0000 0.5000 0.2500
Hf1 0.0000 0.0000 0.0000
Au1 0.0000 0.0000 0.3966
```

(4)
Simulated PXRD pattern
Compound: HfMn3Au
Radiation: Cu Kα (weighted mean of Kα1 and Kα2)
Structure: a crystal structure in Alexandria, relaxed with GGA-PBE
No peak broadening, texture or thermal motion is included.

Peak list (12 most intense, 2θ from 10° to 90°, by intensity)
h k l  2θ/deg  d (Å)  I_rel
1 1 0  26.12  3.412  100
2 0 0  37.27  2.412  59
2 1 1  46.08  1.970  45
2 2 0  53.74  1.706  40
3 2 1  73.43  1.289  24
3 1 0  60.70  1.526  20
2 2 2  67.22  1.393  13
4 1 1  85.36  1.137  13
1 1 1  32.13  2.786  9
1 0 0  18.39  4.825  7
4 0 0  79.45  1.206  6
2 1 0  41.87  2.158  4

Structure:
```
data_HfMn3Au
_chemical_formula_sum 'Hf1 Mn3 Au1'
_cell_length_a 4.8248
_cell_length_b 4.8248
_cell_length_c 4.8248
_cell_angle_alpha 90.00
_cell_angle_beta 90.00
_cell_angle_gamma 90.00
_symmetry_space_group_name_H-M 'P m -3 m'
_symmetry_Int_Tables_number 221
_symmetry_space_group_name_Hall '-P 4 2 3'
loop_
_atom_site_label
_atom_site_fract_x
_atom_site_fract_y
_atom_site_fract_z
Hf1 0.0000 0.0000 0.0000
Mn1 0.0000 0.5000 0.5000
Au1 0.5000 0.5000 0.5000
```

Copy entry 2 word for word.
Simulated PXRD pattern
Compound: Li3HfAu4
Radiation: Cu Kα (weighted mean of Kα1 and Kα2)
Structure: a crystal structure in Alexandria, relaxed with GGA-PBE
No peak broadening, texture or thermal motion is included.

Peak list (12 most intense, 2θ from 10° to 90°, by intensity)
h k l  2θ/deg  d (Å)  I_rel
2 2 0  39.13  2.302  100
2 0 0  27.39  3.256  47
4 2 2  70.90  1.329  36
4 2 0  63.93  1.456  18
1 1 0  19.28  4.605  18
4 0 0  56.53  1.628  17
2 2 2  48.42  1.880  14
4 4 0  84.09  1.151  12
2 1 1  33.71  2.658  9
3 2 1  52.59  1.740  5
3 1 0  43.97  2.059  4
5 1 0  74.26  1.277  3

Structure:
```
data_Li3HfAu4
_chemical_formula_sum 'Li6 Hf2 Au8'
_cell_length_a 6.5119
_cell_length_b 6.5119
_cell_length_c 6.5119
_cell_angle_alpha 90.00
_cell_angle_beta 90.00
_cell_angle_gamma 90.00
_symmetry_space_group_name_H-M 'I m -3 m'
_symmetry_Int_Tables_number 229
_symmetry_space_group_name_Hall '-I 4 2 3'
loop_
_atom_site_label
_atom_site_fract_x
_atom_site_fract_y
_atom_site_fract_z
Li1 0.0000 0.0000 0.5000
Hf1 0.0000 0.0000 0.0000
Au1 0.2500 0.2500 0.2500
```